1.
Ac2PmPt2: computed powder diffraction line list (Cu Kα (λ = 1.5418 Å)), based on a crystal structure in Alexandria, relaxed with PBE.

Top 8 peaks for 5° ≤ 2θ ≤ 70°, in order of falling intensity:
Position (°2θ), I_rel
38.3, 100
26.9, 88
26.3, 83
25.7, 82
41.8, 79
34.5, 73
30.0, 67
35.9, 66

Structural model:
Cell lengths 8.3943, 11.4174, 6.6238 Å; angles 90.00, 90.00, 90.00 degrees
Space group Ibam (No. 72)
Unique sites:
1 Ac 0.1377 0.1533 0.0000 x8
2 Pm 0.0000 0.5000 0.2500 x4
3 Pt 0.2359 0.1026 0.5000 x8

---

2.
Nd3MgSn: computed powder diffraction line list (Cu Kα (λ = 1.5418 Å)), based on a crystal structure in Alexandria, relaxed with PBE.

Top 8 peaks for 5° ≤ 2θ ≤ 70°, in order of falling intensity:
Position (°2θ), I_rel
30.5, 100
29.2, 71
34.3, 69
30.8, 60
34.9, 48
35.2, 40
26.5, 35
31.1, 33

Structural model:
Cell lengths 11.8244, 10.6120, 10.4927 Å; angles 90.00, 113.28, 90.00 degrees
Space group C2/c (No. 15)
Unique sites:
1 Nd 0.0731 0.1825 0.1067 x8
2 Nd 0.1822 0.4896 0.5944 x8
3 Nd 0.2108 0.1460 0.6105 x8
4 Mg 0.1389 0.3046 0.8409 x8
5 Sn 0.0000 0.0582 0.7500 x4
6 Sn 0.0000 0.4346 0.2500 x4

---

3.
YAg5: computed powder diffraction line list (Cu Kα (λ = 1.5418 Å)), based on a crystal structure in Alexandria, relaxed with PBE.

Top 8 peaks for 5° ≤ 2θ ≤ 70°, in order of falling intensity:
Position (°2θ), I_rel
37.9, 100
39.6, 39
37.1, 35
32.9, 22
67.4, 17
61.2, 13
50.4, 13
34.8, 12

Structural model:
Cell lengths 4.8510, 3.1990, 15.4819 Å; angles 90.00, 90.00, 90.00 degrees
Space group Amm2 (No. 38)
Unique sites:
1 Y 0.0000 0.0000 0.0000 x2
2 Ag 0.0000 0.0000 0.3266 x2
3 Ag 0.0000 0.0000 0.6705 x2
4 Ag 0.5000 0.0000 0.1211 x2
5 Ag 0.5000 0.0000 0.4364 x2
6 Ag 0.5000 0.0000 0.7811 x2

---

4.
Cs2PrNp3O12: computed powder diffraction line list (Cu Kα (λ = 1.5418 Å)), based on a crystal structure in Alexandria, relaxed with PBE.

Top 8 peaks for 5° ≤ 2θ ≤ 70°, in order of falling intensity:
Position (°2θ), I_rel
27.2, 100
25.9, 93
26.1, 90
45.0, 52
26.5, 50
13.9, 45
46.0, 42
13.5, 38

Structural model:
Cell lengths 8.0651, 8.0651, 19.1461 Å; angles 90.00, 90.00, 120.00 degrees
Space group R-3m (No. 166, hexagonal axes)
Unique sites:
1 Cs 0.0000 0.0000 0.1194 x6
2 Pr 0.0000 0.0000 0.5000 x3
3 Np 0.0000 0.5000 0.0000 x9
4 O 0.0423 0.5212 0.1004 x18
5 O 0.0815 0.5407 0.3447 x18